Theoretical X-ray diffraction stick pattern
Compound: Fe12C
Radiation: Cu Ka
Structure: a DFT-relaxed cell (PBE, OQMD)
No peak broadening, texture or thermal motion is included.

Principal peaks in the range 10 to 90 degrees two-theta, low angle first:
(hkl)  2theta  intensity
1 0 3  42.82  100
1 2 0  42.94  100
2 0 0  45.90  43
0 2 3  51.86  57
2 2 3  71.73  39
3 2 0  82.84  25

Crystal structure
```
data_Fe12C
_chemical_formula_sum 'Fe12 C1'
_symmetry_space_group_name_H-M 'P m m m'
_symmetry_Int_Tables_number 47
_cell_length_a 3.954
_cell_length_b 4.977
_cell_length_c 7.494
_cell_angle_alpha 90.00
_cell_angle_beta 90.00
_cell_angle_gamma 90.00
loop_
_symmetry_equiv_pos_as_xyz
'x,y,z'
'-x,-y,-z'
'-x,-y,z'
'x,y,-z'
'x,-y,-z'
'-x,y,z'
'-x,y,-z'
'x,-y,z'
loop_
_atom_site_label
_atom_site_type_symbol
_atom_site_fract_x
_atom_site_fract_y
_atom_site_fract_z
Fe1 Fe 0.000 0.000 0.000
Fe2 Fe 0.000 0.000 0.336
Fe3 Fe 0.000 0.500 0.000
Fe4 Fe 0.000 0.500 0.339
Fe5 Fe 0.500 0.250 0.500
Fe6 Fe 0.500 0.263 0.179
C1 C 0.500 0.000 0.000
```